1.
# Ac8Ge4Se3
Simulated powder diffraction line list, Cu Kα, 1.54184 Å. Input: a crystal structure in Alexandria, relaxed with PBE.

Main lines, by intensity (2θ from 10° to 80°):
2θ 27.73, I = 100
2θ 39.66, I = 78
2θ 27.85, I = 50
2θ 23.89, I = 40
2θ 24.08, I = 39
2θ 48.91, I = 22
2θ 49.32, I = 21
2θ 39.45, I = 20
2θ 39.94, I = 19
2θ 64.84, I = 18

Crystal structure
Lattice parameters (Å, degrees): 12.816 12.866 9.029 90.00 134.53 90.00
Space group C2/m (No. 12)
Unique sites:
Ac1 0.000 0.244 0.000 [4 per cell]
Ac2 0.000 0.253 0.500 [4 per cell]
Ac3 0.247 0.000 0.483 [4 per cell]
Ac4 0.249 0.000 0.005 [4 per cell]
Ge1 0.000 0.000 0.000 [2 per cell]
Ge2 0.000 0.500 0.500 [2 per cell]
Ge3 0.250 0.250 0.000 [4 per cell]
Se1 0.000 0.000 0.500 [2 per cell]
Se2 0.250 0.250 0.500 [4 per cell]

2.
# DyAlGePt3
Simulated powder diffraction line list, Cu Kα, 1.54184 Å. Input: a crystal structure in Alexandria, relaxed with PBE.

Main lines, by intensity (2θ from 10° to 80°):
2θ 33.88, I = 100
2θ 34.05, I = 99
2θ 22.17, I = 89
2θ 45.92, I = 69
2θ 51.55, I = 39
2θ 45.77, I = 34
2θ 46.97, I = 31
2θ 47.10, I = 31
2θ 66.75, I = 22
2θ 36.06, I = 21

Crystal structure
Lattice parameters (Å, degrees): 5.605 16.041 5.575 90.00 90.00 90.00
Space group Cmcm (No. 63)
Unique sites:
Dy1 0.000 0.194 0.250 [4 per cell]
Al1 0.000 0.404 0.750 [4 per cell]
Ge1 0.000 0.097 0.750 [4 per cell]
Pt1 0.000 0.251 0.750 [4 per cell]
Pt2 0.250 0.000 0.000 [8 per cell]

3.
# FeCo7
Simulated powder diffraction line list, Cu Kα, 1.54184 Å. Input: a crystal structure in Alexandria, relaxed with PBE.

Main lines, by intensity (2θ from 10° to 80°):
2θ 44.43, I = 100
2θ 51.57, I = 31
2θ 76.42, I = 17
2θ 52.18, I = 15
2θ 75.87, I = 4
2θ 75.98, I = 4

Crystal structure
Lattice parameters (Å, degrees): 5.016 7.012 10.019 90.00 90.00 90.00
Space group Fmmm (No. 69)
Unique sites:
Fe1 0.000 0.000 0.000 [4 per cell]
Co1 0.000 0.000 0.252 [8 per cell]
Co2 0.000 0.000 0.500 [4 per cell]
Co3 0.250 0.250 0.127 [16 per cell]

4.
# NaCeSm2Se4
Simulated powder diffraction line list, Cu Kα, 1.54184 Å. Input: a crystal structure in Alexandria, relaxed with PBE.

Main lines, by intensity (2θ from 10° to 80°):
2θ 30.09, I = 100
2θ 42.98, I = 25
2θ 43.18, I = 25
2θ 12.85, I = 13
2θ 53.64, I = 13
2θ 42.84, I = 13
2θ 43.31, I = 12
2θ 62.56, I = 12
2θ 70.82, I = 11
2θ 71.12, I = 11

Crystal structure
Lattice parameters (Å, degrees): 7.265 4.178 7.308 90.00 109.18 90.00
Space group P2/m (No. 10)
Unique sites:
Na1 0.000 0.000 0.000 [1 per cell]
Ce1 0.500 0.500 0.000 [1 per cell]
Sm1 0.000 0.500 0.500 [1 per cell]
Sm2 0.500 0.000 0.500 [1 per cell]
Se1 0.247 0.000 0.748 [2 per cell]
Se2 0.251 0.500 0.254 [2 per cell]

5.
# HgPbF4
Simulated powder diffraction line list, Cu Kα, 1.54184 Å. Input: a crystal structure in Alexandria, relaxed with PBE.

Main lines, by intensity (2θ from 10° to 80°):
2θ 22.87, I = 100
2θ 28.42, I = 95
2θ 43.76, I = 79
2θ 32.57, I = 29
2θ 55.59, I = 24
2θ 53.37, I = 21
2θ 52.63, I = 19
2θ 46.72, I = 18
2θ 65.93, I = 18
2θ 75.49, I = 15

Crystal structure
Lattice parameters (Å, degrees): 7.777 7.777 7.653 90.00 90.00 90.00
Space group I4_1md (No. 109)
Unique sites:
Hg1 0.000 0.000 0.000 [4 per cell]
Pb1 0.000 0.000 0.500 [4 per cell]
F1 0.000 0.308 0.013 [8 per cell]
F2 0.000 0.314 0.492 [8 per cell]

6.
# Pm2AgPO6
Simulated powder diffraction line list, Cu Kα, 1.54184 Å. Input: a crystal structure in Alexandria, relaxed with PBE.

Main lines, by intensity (2θ from 10° to 80°):
2θ 29.97, I = 100
2θ 33.61, I = 36
2θ 57.86, I = 30
2θ 50.78, I = 27
2θ 48.27, I = 20
2θ 62.27, I = 19
2θ 18.22, I = 14
2θ 38.49, I = 10
2θ 36.92, I = 10
2θ 78.60, I = 8

Crystal structure
Lattice parameters (Å, degrees): 5.333 5.333 4.870 90.00 90.00 90.00
Space group P4mm (No. 99)
Unique sites:
Pm1 0.000 0.500 0.000 [2 per cell]
Ag1 0.000 0.000 0.498 [1 per cell]
P1 0.500 0.500 0.620 [1 per cell]
O1 0.000 0.000 0.065 [1 per cell]
O2 0.287 0.287 0.722 [4 per cell]
O3 0.500 0.500 0.294 [1 per cell]